This entry pairs a crystal structure of Rb2Se with its computed X-ray diffraction stick pattern. Radiation: Cu Kα (weighted mean of Kα1 and Kα2). Structure: a PBE-relaxed structure.

Atomic structure:
```
data_Rb2Se
_symmetry_space_group_name_H-M 'P 1'
_symmetry_Int_Tables_number 1
_cell_length_a 8.122
_cell_length_b 8.122
_cell_length_c 8.122
_cell_angle_alpha 90.00
_cell_angle_beta 90.00
_cell_angle_gamma 90.00
loop_
_symmetry_equiv_pos_as_xyz
'x,y,z'
loop_
_atom_site_label
_atom_site_fract_x
_atom_site_fract_y
_atom_site_fract_z
Rb1 0.250 0.250 0.250
Rb2 0.250 0.250 0.750
Rb3 0.250 0.750 0.250
Rb4 0.250 0.750 0.750
Rb5 0.750 0.250 0.250
Rb6 0.750 0.250 0.750
Rb7 0.750 0.750 0.250
Rb8 0.750 0.750 0.750
Se1 0.000 0.000 0.000
Se2 0.000 0.500 0.500
Se3 0.500 0.000 0.500
Se4 0.500 0.500 0.000
```

Largest 12 diffraction maxima, in order of rising 2θ, 2θ = 5–70°:
two_theta	intensity	index
18.92	23.2	1 1 1
21.89	16.6	2 0 0
31.15	100.0	2 2 0
36.70	12.6	3 1 1
38.39	5.1	2 2 2
44.63	18.0	4 0 0
48.88	5.5	3 3 1
50.23	6.9	4 2 0
55.42	37.6	4 2 2
59.10	4.1	5 1 1
64.95	11.6	4 4 0
68.32	4.0	5 3 1



This entry pairs a crystal structure of TiCrP2 with its computed X-ray diffraction stick pattern. Radiation: Cu Kα (weighted mean of Kα1 and Kα2). Structure: a PBE-relaxed structure.

Atomic structure:
```
data_TiCrP2
_symmetry_space_group_name_H-M 'P 1'
_symmetry_Int_Tables_number 1
_cell_length_a 3.453
_cell_length_b 3.453
_cell_length_c 5.748
_cell_angle_alpha 90.00
_cell_angle_beta 90.00
_cell_angle_gamma 120.00
loop_
_symmetry_equiv_pos_as_xyz
'x,y,z'
loop_
_atom_site_label
_atom_site_fract_x
_atom_site_fract_y
_atom_site_fract_z
Ti1 0.000 0.000 0.000
Cr1 0.000 0.000 0.500
P1 0.333 0.667 0.266
P2 0.667 0.333 0.734
```

Largest 11 diffraction maxima, in order of rising 2θ, 2θ = 5–70°:
two_theta	intensity	index
15.42	2.3	0 0 1
29.88	44.0	1 0 0
31.12	4.4	0 0 2
33.79	35.2	1 0 1
43.68	100.0	1 0 2
53.04	40.7	1 1 0
57.09	6.9	0 1 3
62.07	4.4	2 0 0
62.78	2.7	1 1 2
64.38	4.8	0 2 1
64.89	6.6	0 0 4